Simulated PXRD pattern of Na7Cr2O6 for Cu Kα, from a structure optimized by DFT (GGA+U).
Lines closer than 0.1° are merged.

Most intense lines, 10 to 90 degrees two-theta, low angle first:
two_theta, d (Å), I (rel.)
23.71, 3.753, 53
33.71, 2.659, 45
34.89, 2.571, 100
35.02, 2.562, 97
37.28, 2.412, 85
45.06, 2.012, 47

Atomic structure:
abc: 8.061 8.061 10.629
angles: 103.88 103.88 42.53
Sites, in units of the cell vectors:
Na1 0.078 0.922 0.750
Na2 0.186 0.266 0.808
Na3 0.241 0.422 0.595
Na4 0.266 0.186 0.308
Na5 0.298 0.582 0.350
Na6 0.418 0.702 0.150
Na7 0.422 0.241 0.095
Na8 0.578 0.759 0.905
Na9 0.582 0.298 0.850
Na10 0.702 0.418 0.650
Na11 0.734 0.814 0.692
Na12 0.759 0.578 0.405
Na13 0.814 0.734 0.192
Na14 0.922 0.078 0.250
Cr1 0.010 0.225 0.039
Cr2 0.225 0.010 0.539
Cr3 0.775 0.990 0.461
Cr4 0.990 0.775 0.961
O1 0.008 0.343 0.580
O2 0.133 0.671 0.125
O3 0.155 0.599 0.814
O4 0.329 0.867 0.375
O5 0.343 0.008 0.080
O6 0.401 0.845 0.686
O7 0.599 0.155 0.314
O8 0.657 0.992 0.920
O9 0.671 0.133 0.625
O10 0.845 0.401 0.186
O11 0.867 0.329 0.875
O12 0.992 0.657 0.420